[1]
# Pa4FeTe3
Theoretical powder X-ray diffraction pattern, Cu Ka. Input: a PBE-relaxed structure.
Neutral-atom scattering factors, no anomalous dispersion.

Principal peaks in the range 2θ from 10° to 80°, by angle:
| d [Å] | 2θ (°) | Rel. int. |
| --- | --- | --- |
| 3.368 | 26.5 | 16.7 |
| 3.026 | 29.5 | 50.1 |
| 2.995 | 29.8 | 100.0 |
| 2.722 | 32.9 | 18.7 |
| 2.388 | 37.7 | 15.3 |
| 2.129 | 42.5 | 64.8 |
| 2.027 | 44.7 | 20.1 |
| 1.684 | 54.5 | 18.3 |

Structural model:
```
data_Pa4FeTe3
_chemical_formula_sum 'Pa4 Fe1 Te3'
_symmetry_space_group_name_H-M 'P 1'
_symmetry_Int_Tables_number 1
_symmetry_space_group_name_Hall 'P 1'
_cell_length_a 7.5073
_cell_length_b 7.5073
_cell_length_c 4.0546
_cell_angle_alpha 90.00
_cell_angle_beta 90.00
_cell_angle_gamma 107.43
loop_
_atom_site_label
_atom_site_type_symbol
_atom_site_fract_x
_atom_site_fract_y
_atom_site_fract_z
_atom_site_occupancy
Pa1 Pa 0.1989 0.1989 0.5000 1
Pa2 Pa 0.2222 0.7778 0.0000 1
Pa3 Pa 0.7778 0.2222 0.0000 1
Pa4 Pa 0.8011 0.8011 0.5000 1
Fe1 Fe 0.0000 0.0000 0.0000 1
Te1 Te 0.0000 0.5000 0.5000 1
Te2 Te 0.5000 0.0000 0.5000 1
Te3 Te 0.5000 0.5000 0.0000 1
```



[2]
# ErTmGeTe
Theoretical powder X-ray diffraction pattern, Cu Ka. Input: a PBE-relaxed structure.
Neutral-atom scattering factors, no anomalous dispersion.

Principal peaks in the range 2θ from 10° to 80°, by angle:
| d [Å] | 2θ (°) | Rel. int. |
| --- | --- | --- |
| 2.993 | 29.9 | 100.0 |
| 2.132 | 42.4 | 33.5 |
| 2.101 | 43.1 | 38.6 |
| 1.720 | 53.3 | 19.8 |
| 1.496 | 62.0 | 10.8 |
| 1.346 | 69.9 | 11.9 |
| 1.331 | 70.8 | 16.8 |
| 1.219 | 78.5 | 11.0 |

Structural model:
```
data_ErTmGeTe
_chemical_formula_sum 'Er1 Tm1 Ge1 Te1'
_symmetry_space_group_name_H-M 'P 1'
_symmetry_Int_Tables_number 1
_symmetry_space_group_name_Hall 'P 1'
_cell_length_a 7.4230
_cell_length_b 7.4230
_cell_length_c 7.4230
_cell_angle_alpha 32.88
_cell_angle_beta 32.88
_cell_angle_gamma 32.88
loop_
_atom_site_label
_atom_site_type_symbol
_atom_site_fract_x
_atom_site_fract_y
_atom_site_fract_z
_atom_site_occupancy
Er1 Er 0.0000 0.0000 0.0000 1
Tm1 Tm 0.5214 0.5214 0.5214 1
Ge1 Ge 0.2604 0.2604 0.2604 1
Te1 Te 0.7612 0.7612 0.7612 1
```



[3]
# ScH6Rh2
Theoretical powder X-ray diffraction pattern, Cu Ka. Input: a PBE-relaxed structure.
Neutral-atom scattering factors, no anomalous dispersion.

Principal peaks in the range 2θ from 10° to 80°, by angle:
| d [Å] | 2θ (°) | Rel. int. |
| --- | --- | --- |
| 3.960 | 22.5 | 13.0 |
| 2.862 | 31.3 | 100.0 |
| 2.286 | 39.4 | 47.9 |
| 2.070 | 43.7 | 12.2 |
| 1.786 | 51.1 | 22.8 |
| 1.535 | 60.3 | 27.4 |
| 1.408 | 66.4 | 18.9 |
| 1.303 | 72.5 | 10.5 |

Structural model:
```
data_ScH6Rh2
_chemical_formula_sum 'Sc3 H18 Rh6'
_symmetry_space_group_name_H-M 'P 1'
_symmetry_Int_Tables_number 1
_symmetry_space_group_name_Hall 'P 1'
_cell_length_a 7.9199
_cell_length_b 7.9199
_cell_length_c 4.1406
_cell_angle_alpha 90.00
_cell_angle_beta 90.00
_cell_angle_gamma 120.00
loop_
_atom_site_label
_atom_site_type_symbol
_atom_site_fract_x
_atom_site_fract_y
_atom_site_fract_z
_atom_site_occupancy
Sc1 Sc 0.0000 0.0000 0.0000 1
Sc2 Sc 0.3333 0.6667 0.5087 1
Sc3 Sc 0.6667 0.3333 0.4913 1
H1 H 0.0797 0.5638 0.2349 1
H2 H 0.1051 0.2559 0.2677 1
H3 H 0.1508 0.8949 0.2677 1
H4 H 0.1948 0.7862 0.7811 1
H5 H 0.2138 0.4086 0.7811 1
H6 H 0.2559 0.1051 0.7323 1
H7 H 0.4086 0.2138 0.2189 1
H8 H 0.4362 0.5159 0.2349 1
H9 H 0.4841 0.9203 0.2349 1
H10 H 0.5159 0.4362 0.7651 1
H11 H 0.5638 0.0797 0.7651 1
H12 H 0.5914 0.8052 0.7811 1
H13 H 0.7441 0.8492 0.2677 1
H14 H 0.7862 0.1948 0.2189 1
H15 H 0.8052 0.5914 0.2189 1
H16 H 0.8492 0.7441 0.7323 1
H17 H 0.8949 0.1508 0.7323 1
H18 H 0.9203 0.4841 0.7651 1
Rh1 Rh 0.0000 0.3505 0.0000 1
Rh2 Rh 0.0000 0.6846 0.5000 1
Rh3 Rh 0.3154 0.3154 0.5000 1
Rh4 Rh 0.3505 0.0000 0.0000 1
Rh5 Rh 0.6495 0.6495 0.0000 1
Rh6 Rh 0.6846 0.0000 0.5000 1
```



[4]
# Ac3Zn3Hg
Theoretical powder X-ray diffraction pattern, Cu Ka. Input: a PBE-relaxed structure.
Neutral-atom scattering factors, no anomalous dispersion.

Principal peaks in the range 2θ from 10° to 80°, by angle:
| d [Å] | 2θ (°) | Rel. int. |
| --- | --- | --- |
| 3.973 | 22.4 | 32.2 |
| 2.958 | 30.2 | 100.0 |
| 2.916 | 30.7 | 57.6 |
| 2.563 | 35.0 | 42.0 |
| 2.401 | 37.5 | 28.8 |
| 2.007 | 45.2 | 21.5 |
| 1.854 | 49.2 | 31.8 |
| 1.580 | 58.4 | 19.4 |

Structural model:
```
data_Ac3Zn3Hg
_chemical_formula_sum 'Ac3 Zn3 Hg1'
_symmetry_space_group_name_H-M 'P 1'
_symmetry_Int_Tables_number 1
_symmetry_space_group_name_Hall 'P 1'
_cell_length_a 11.0588
_cell_length_b 11.0588
_cell_length_c 11.0588
_cell_angle_alpha 159.09
_cell_angle_beta 154.92
_cell_angle_gamma 32.88
loop_
_atom_site_label
_atom_site_type_symbol
_atom_site_fract_x
_atom_site_fract_y
_atom_site_fract_z
_atom_site_occupancy
Ac1 Ac 0.0000 0.0000 0.0000 1
Ac2 Ac 0.3811 0.3811 0.0000 1
Ac3 Ac 0.6856 0.1856 0.5000 1
Zn1 Zn 0.1208 0.6208 0.5000 1
Zn2 Zn 0.5544 0.5544 0.0000 1
Zn3 Zn 0.8298 0.8298 0.0000 1
Hg1 Hg 0.2532 0.7532 0.5000 1
```



[5]
# TcSnH2W
Theoretical powder X-ray diffraction pattern, Cu Ka. Input: a PBE-relaxed structure.
Neutral-atom scattering factors, no anomalous dispersion.

Principal peaks in the range 2θ from 10° to 80°, by angle:
| d [Å] | 2θ (°) | Rel. int. |
| --- | --- | --- |
| 6.312 | 14.0 | 23.4 |
| 3.156 | 28.3 | 16.3 |
| 3.111 | 28.7 | 32.4 |
| 2.790 | 32.1 | 22.0 |
| 2.216 | 40.7 | 100.0 |
| 2.200 | 41.0 | 49.9 |
| 1.555 | 59.4 | 17.3 |
| 1.273 | 74.5 | 34.4 |

Structural model:
```
data_TcSnH2W
_chemical_formula_sum 'Tc1 Sn1 H2 W1'
_symmetry_space_group_name_H-M 'P 1'
_symmetry_Int_Tables_number 1
_symmetry_space_group_name_Hall 'P 1'
_cell_length_a 3.1108
_cell_length_b 3.1108
_cell_length_c 6.3123
_cell_angle_alpha 90.00
_cell_angle_beta 90.00
_cell_angle_gamma 90.00
loop_
_atom_site_label
_atom_site_type_symbol
_atom_site_fract_x
_atom_site_fract_y
_atom_site_fract_z
_atom_site_occupancy
Tc1 Tc 0.0000 0.0000 0.0000 1
Sn1 Sn 0.5000 0.5000 0.2839 1
H1 H 0.0000 0.5000 0.5956 1
H2 H 0.5000 0.0000 0.5956 1
W1 W 0.5000 0.5000 0.7562 1
```



[6]
# Cr2CoTe
Theoretical powder X-ray diffraction pattern, Cu Ka. Input: a PBE-relaxed structure.
Neutral-atom scattering factors, no anomalous dispersion.

Principal peaks in the range 2θ from 10° to 80°, by angle:
| d [Å] | 2θ (°) | Rel. int. |
| --- | --- | --- |
| 3.945 | 22.5 | 8.5 |
| 3.349 | 26.6 | 14.4 |
| 2.616 | 34.3 | 6.0 |
| 2.180 | 41.4 | 100.0 |
| 1.973 | 46.0 | 18.2 |
| 1.849 | 49.3 | 29.4 |
| 1.349 | 69.7 | 19.4 |
| 1.309 | 72.2 | 4.3 |

Structural model:
```
data_Cr2CoTe
_chemical_formula_sum 'Cr2 Co1 Te1'
_symmetry_space_group_name_H-M 'P 1'
_symmetry_Int_Tables_number 1
_symmetry_space_group_name_Hall 'P 1'
_cell_length_a 4.7349
_cell_length_b 4.7324
_cell_length_c 3.6989
_cell_angle_alpha 67.04
_cell_angle_beta 66.97
_cell_angle_gamma 46.00
loop_
_atom_site_label
_atom_site_type_symbol
_atom_site_fract_x
_atom_site_fract_y
_atom_site_fract_z
_atom_site_occupancy
Cr1 Cr 0.2500 0.2500 0.2500 1
Cr2 Cr 0.7500 0.7500 0.7500 1
Co1 Co 0.0000 0.0000 0.0000 1
Te1 Te 0.5000 0.5000 0.5000 1
```